Record 1
For CeMg14Cd, a DFT-relaxed cell (GGA-PBE, the Materials Project) gives the calculated XRD peak list in this record (Cu Kα (λ = 1.5418 Å)).
Peak positions follow from Bragg's law for the DFT cell and can differ from measured ones.

Structure:
```
data_CeMg14Cd
_symmetry_space_group_name_H-M 'P -6 m 2'
_symmetry_Int_Tables_number 187
_symmetry_space_group_name_Hall 'P -6 2'
_cell_length_a 6.4170
_cell_length_b 6.4170
_cell_length_c 10.1798
_cell_angle_alpha 90.00
_cell_angle_beta 90.00
_cell_angle_gamma 120.00
loop_
_atom_site_label
_atom_site_type_symbol
_atom_site_fract_x
_atom_site_fract_y
_atom_site_fract_z
Ce1 Ce 0.0000 0.0000 0.0000
Mg1 Mg 0.0169 0.5084 0.0000
Mg2 Mg 0.1673 0.3346 0.2595
Mg3 Mg 0.5036 0.0072 0.5000
Mg4 Mg 0.6667 0.3333 0.2371
Cd1 Cd 0.0000 0.0000 0.5000
```

Top 8 peaks for 10 to 90 degrees two-theta, low angle first:
two_theta  I/Imax
15.95  54
23.70  44
32.22  31
33.00  19
35.27  24
36.85  100
48.51  19
69.23  18

***

Record 2
For LiCuO2, a DFT-relaxed cell (GGA-PBE, the Materials Project) gives the calculated XRD peak list in this record (Cu Kα (λ = 1.5418 Å)).
Peak positions follow from Bragg's law for the DFT cell and can differ from measured ones.

Structure:
```
data_LiCuO2
_symmetry_space_group_name_H-M 'C 1 m 1'
_symmetry_Int_Tables_number 8
_symmetry_space_group_name_Hall 'C -2y'
_cell_length_a 10.054
_cell_length_b 2.736
_cell_length_c 7.387
_cell_angle_alpha 90.00
_cell_angle_beta 120.58
_cell_angle_gamma 90.00
loop_
_atom_site_label
_atom_site_type_symbol
_atom_site_fract_x
_atom_site_fract_y
_atom_site_fract_z
Li1 Li 0.000 0.000 0.000
Li2 Li 0.214 0.500 0.467
Cu1 Cu 0.022 0.500 0.626
Cu2 Cu 0.315 0.500 0.157
O1 O 0.093 0.000 0.530
O2 O 0.223 0.000 0.227
O3 O 0.395 0.000 0.075
O4 O 0.439 0.500 0.704
```

Top 8 peaks for 10 to 90 degrees two-theta, low angle first:
two_theta  I/Imax
17.99  100
28.06  58
30.32  59
36.47  16
44.55  31
45.70  15
50.83  13
58.33  19

***

Record 3
For ZnSi2SnO6, a DFT-relaxed cell (GGA-PBE, the Materials Project) gives the calculated XRD peak list in this record (Cu Kα (λ = 1.5418 Å)).
Peak positions follow from Bragg's law for the DFT cell and can differ from measured ones.

Structure:
```
data_ZnSi2SnO6
_symmetry_space_group_name_H-M 'C 1 2/c 1'
_symmetry_Int_Tables_number 15
_symmetry_space_group_name_Hall '-C 2yc'
_cell_length_a 10.790
_cell_length_b 9.979
_cell_length_c 5.530
_cell_angle_alpha 90.00
_cell_angle_beta 110.62
_cell_angle_gamma 90.00
loop_
_atom_site_label
_atom_site_type_symbol
_atom_site_fract_x
_atom_site_fract_y
_atom_site_fract_z
Zn1 Zn 0.000 0.246 0.250
Si1 Si 0.207 0.090 0.713
Sn1 Sn 0.000 0.368 0.750
O1 O 0.089 0.202 0.612
O2 O 0.147 0.342 0.176
O3 O 0.186 0.004 0.953
```

Top 8 peaks for 10 to 90 degrees two-theta, low angle first:
two_theta  I/Imax
12.47  40
17.56  46
25.09  54
26.71  100
27.97  37
31.51  33
34.66  33
34.86  26

***

Record 4
For Cr3Si2Mo3, a DFT-relaxed cell (GGA-PBE, the Materials Project) gives the calculated XRD peak list in this record (Cu Kα (λ = 1.5418 Å)).
Peak positions follow from Bragg's law for the DFT cell and can differ from measured ones.

Structure:
```
data_Cr3Si2Mo3
_symmetry_space_group_name_H-M 'R 3 2'
_symmetry_Int_Tables_number 155
_symmetry_space_group_name_Hall 'R 3 2"'
_cell_length_a 6.7132
_cell_length_b 6.7132
_cell_length_c 8.2019
_cell_angle_alpha 90.00
_cell_angle_beta 90.00
_cell_angle_gamma 120.00
loop_
_atom_site_label
_atom_site_type_symbol
_atom_site_fract_x
_atom_site_fract_y
_atom_site_fract_z
Cr1 Cr 0.0000 0.7486 0.0000
Si1 Si 0.0000 0.0000 0.2418
Mo1 Mo 0.0000 0.2501 0.5000
```

Top 8 peaks for 10 to 90 degrees two-theta, low angle first:
two_theta  I/Imax
26.57  25
37.94  16
42.62  100
46.90  29
71.69  10
71.81  10
74.87  13
81.10  10

***

Record 5
For GdErRh2, a DFT-relaxed cell (GGA-PBE, the Materials Project) gives the calculated XRD peak list in this record (Cu Kα (λ = 1.5418 Å)).
Peak positions follow from Bragg's law for the DFT cell and can differ from measured ones.

Structure:
```
data_GdErRh2
_symmetry_space_group_name_H-M 'F m -3 m'
_symmetry_Int_Tables_number 225
_symmetry_space_group_name_Hall '-F 4 2 3'
_cell_length_a 6.877
_cell_length_b 6.877
_cell_length_c 6.877
_cell_angle_alpha 90.00
_cell_angle_beta 90.00
_cell_angle_gamma 90.00
loop_
_atom_site_label
_atom_site_type_symbol
_atom_site_fract_x
_atom_site_fract_y
_atom_site_fract_z
Gd1 Gd 0.000 0.000 0.000
Er1 Er 0.000 0.000 0.500
Rh1 Rh 0.250 0.250 0.250
```

Top 8 peaks for 10 to 90 degrees two-theta, low angle first:
two_theta  I/Imax
25.91  5
36.97  100
45.70  2
53.28  17
60.17  2
66.62  35
78.71  11
84.53  1

***

Record 6
For CeGe2Pt2, a DFT-relaxed cell (GGA-PBE, the Materials Project) gives the calculated XRD peak list in this record (Cu Kα (λ = 1.5418 Å)).
Peak positions follow from Bragg's law for the DFT cell and can differ from measured ones.

Structure:
```
data_CeGe2Pt2
_symmetry_space_group_name_H-M 'P 4/n m m'
_symmetry_Int_Tables_number 129
_cell_length_a 4.409
_cell_length_b 4.409
_cell_length_c 9.939
_cell_angle_alpha 90.00
_cell_angle_beta 90.00
_cell_angle_gamma 90.00
loop_
_symmetry_equiv_pos_as_xyz
'x,y,z'
'-x,-y,-z'
'-y+1/2,x,z'
'y+1/2,-x,-z'
'-x+1/2,-y+1/2,z'
'x+1/2,y+1/2,-z'
'y,-x+1/2,z'
'-y,x+1/2,-z'
'x+1/2,-y,-z'
'-x+1/2,y,z'
'-y,-x,-z'
'y,x,z'
'-x,y+1/2,-z'
'x,-y+1/2,z'
'y+1/2,x+1/2,-z'
'-y+1/2,-x+1/2,z'
loop_
_atom_site_label
_atom_site_type_symbol
_atom_site_fract_x
_atom_site_fract_y
_atom_site_fract_z
Ce1 Ce 0.250 0.250 0.248
Ge1 Ge 0.250 0.250 0.630
Ge2 Ge 0.250 0.750 0.000
Pt1 Pt 0.250 0.250 0.877
Pt2 Pt 0.250 0.750 0.500
```

Top 8 peaks for 10 to 90 degrees two-theta, low angle first:
two_theta  I/Imax
30.04  34
33.85  65
33.95  100
40.94  82
46.75  39
54.13  35
59.28  28
70.09  32

***

Record 7
For K4Ba2SnBi4, a DFT-relaxed cell (GGA-PBE, the Materials Project) gives the calculated XRD peak list in this record (Cu Kα (λ = 1.5418 Å)).
Peak positions follow from Bragg's law for the DFT cell and can differ from measured ones.

Structure:
```
data_K4Ba2SnBi4
_symmetry_space_group_name_H-M 'C 1 m 1'
_symmetry_Int_Tables_number 8
_symmetry_space_group_name_Hall 'C -2y'
_cell_length_a 19.948
_cell_length_b 11.687
_cell_length_c 8.441
_cell_angle_alpha 90.00
_cell_angle_beta 90.96
_cell_angle_gamma 90.00
loop_
_atom_site_label
_atom_site_type_symbol
_atom_site_fract_x
_atom_site_fract_y
_atom_site_fract_z
K1 K 0.000 0.000 0.000
K2 K 0.071 0.216 0.482
K3 K 0.220 0.217 0.991
K4 K 0.294 0.000 0.476
K5 K 0.386 0.280 0.290
Ba1 Ba 0.129 0.500 0.792
Ba2 Ba 0.168 0.500 0.292
Ba3 Ba 0.406 0.225 0.791
Sn1 Sn 0.312 0.500 0.662
Sn2 Sn 0.479 0.000 0.164
Bi1 Bi 0.052 0.293 0.055
Bi2 Bi 0.240 0.288 0.559
Bi3 Bi 0.310 0.500 0.013
Bi4 Bi 0.340 0.000 0.044
Bi5 Bi 0.454 0.500 0.574
Bi6 Bi 0.483 0.000 0.522
```

Top 8 peaks for 10 to 90 degrees two-theta, low angle first:
two_theta  I/Imax
20.46  79
20.60  34
20.84  34
21.05  36
27.45  85
27.68  46
30.60  51
30.95  100

***

Record 8
For YCu3Se3, a DFT-relaxed cell (GGA-PBE, the Materials Project) gives the calculated XRD peak list in this record (Cu Kα (λ = 1.5418 Å)).
Peak positions follow from Bragg's law for the DFT cell and can differ from measured ones.

Structure:
```
data_YCu3Se3
_symmetry_space_group_name_H-M 'R -3'
_symmetry_Int_Tables_number 148
_symmetry_space_group_name_Hall '-R 3'
_cell_length_a 7.0334
_cell_length_b 7.0334
_cell_length_c 19.8997
_cell_angle_alpha 90.00
_cell_angle_beta 90.00
_cell_angle_gamma 120.00
loop_
_atom_site_label
_atom_site_type_symbol
_atom_site_fract_x
_atom_site_fract_y
_atom_site_fract_z
Y1 Y 0.0000 0.0000 0.1664
Cu1 Cu 0.0014 0.3457 0.6246
Se1 Se 0.0012 0.3282 0.4175
```

Top 8 peaks for 10 to 90 degrees two-theta, low angle first:
two_theta  I/Imax
25.33  29
28.73  78
37.27  95
44.63  100
48.64  59
59.50  24
68.14  20
85.18  22

***

Record 9
For MgCuO2, a DFT-relaxed cell (GGA-PBE, the Materials Project) gives the calculated XRD peak list in this record (Cu Kα (λ = 1.5418 Å)).
Peak positions follow from Bragg's law for the DFT cell and can differ from measured ones.

Structure:
```
data_MgCuO2
_symmetry_space_group_name_H-M 'I 41/a m d'
_symmetry_Int_Tables_number 141
_cell_length_a 4.044
_cell_length_b 4.044
_cell_length_c 9.659
_cell_angle_alpha 90.00
_cell_angle_beta 90.00
_cell_angle_gamma 90.00
loop_
_symmetry_equiv_pos_as_xyz
'x,y,z'
'-x,-y,-z'
'-y+1/4,x+3/4,z+1/4'
'y+1/4,-x+3/4,-z+1/4'
'-x+1/2,-y,z+1/2'
'x+1/2,y,-z+1/2'
'y+1/4,-x+1/4,z+3/4'
'-y+1/4,x+1/4,-z+3/4'
'x,-y,-z'
'-x,y,z'
'-y+1/4,-x+1/4,-z+3/4'
'y+1/4,x+1/4,z+3/4'
'-x+1/2,y,-z+1/2'
'x+1/2,-y,z+1/2'
'y+1/4,x+3/4,-z+1/4'
'-y+1/4,-x+3/4,z+1/4'
'x+1/2,y+1/2,z+1/2'
'-x+1/2,-y+1/2,-z+1/2'
'-y+3/4,x+1/4,z+3/4'
'y+3/4,-x+1/4,-z+3/4'
'-x,-y+1/2,z'
'x,y+1/2,-z'
'y+3/4,-x+3/4,z+1/4'
'-y+3/4,x+3/4,-z+1/4'
'x+1/2,-y+1/2,-z+1/2'
'-x+1/2,y+1/2,z+1/2'
'-y+3/4,-x+3/4,-z+1/4'
'y+3/4,x+3/4,z+1/4'
'-x,y+1/2,-z'
'x,-y+1/2,z'
'y+3/4,x+1/4,-z+3/4'
'-y+3/4,-x+1/4,z+3/4'
loop_
_atom_site_label
_atom_site_type_symbol
_atom_site_fract_x
_atom_site_fract_y
_atom_site_fract_z
Mg1 Mg 0.000 0.250 0.375
Cu1 Cu 0.000 0.250 0.875
O1 O 0.000 0.250 0.143
```

Top 8 peaks for 10 to 90 degrees two-theta, low angle first:
two_theta  I/Imax
23.85  54
35.64  37
36.52  91
37.24  84
44.82  100
59.64  73
65.25  28
77.60  30